Record 1
Structure and simulated PXRD pattern of Hf2Cr4Si5 (a DFT-relaxed cell (PBE, the Materials Project); Cu Ka).
Neutral-atom scattering factors, no anomalous dispersion.

Most intense lines, 2θ = 15–90°, in order of rising 2θ:
2theta	Rel. int.
24.24	40.8
30.30	59.1
40.17	46.7
41.18	100.0
41.80	68.0
42.10	60.7

Crystal structure
```
Hf2Cr4Si5
1.0
-3.780 8.023 2.465
3.780 -8.023 2.465
3.780 8.023 -2.465
Hf Cr Si
4 8 10
Direct
0.141 0.121 0.262 Hf
0.359 0.621 0.979 Hf
0.641 0.379 0.021 Hf
0.859 0.879 0.738 Hf
0.058 0.750 0.308 Cr
0.062 0.748 0.810 Cr
0.438 0.248 0.686 Cr
0.442 0.750 0.692 Cr
0.558 0.250 0.308 Cr
0.562 0.752 0.314 Cr
0.938 0.252 0.190 Cr
0.942 0.250 0.692 Cr
0.064 0.426 0.490 Si
0.211 0.792 0.003 Si
0.250 0.250 0.000 Si
0.289 0.292 0.581 Si
0.436 0.926 0.362 Si
0.564 0.074 0.638 Si
0.711 0.708 0.419 Si
0.750 0.750 0.000 Si
0.789 0.208 0.997 Si
0.936 0.574 0.510 Si
```

---

Record 2
Structure and simulated PXRD pattern of YIO (a DFT-relaxed cell (PBE, the Materials Project); Cu Ka).
Neutral-atom scattering factors, no anomalous dispersion.

Most intense lines, 2θ = 15–90°, in order of rising 2θ:
2theta	Rel. int.
28.33	20.2
29.53	100.0
32.54	17.0
38.22	30.5
45.99	39.1
57.82	17.9

Crystal structure
```
YIO
1.0
1.973 1.139 10.829
-1.973 1.139 10.829
0.000 -2.279 10.829
Y I O
2 2 2
Direct
0.210 0.210 0.210 Y
0.790 0.790 0.790 Y
0.389 0.389 0.389 I
0.611 0.611 0.611 I
0.140 0.140 0.140 O
0.860 0.860 0.860 O
```

---

Record 3
Structure and simulated PXRD pattern of MgSi2 (a DFT-relaxed cell (PBE, the Materials Project); Cu Ka).
Neutral-atom scattering factors, no anomalous dispersion.

Most intense lines, 2θ = 15–90°, in order of rising 2θ:
2theta	Rel. int.
36.36	100.0
36.47	44.1
37.46	26.8
37.82	36.7
38.87	34.2
39.72	25.0

Crystal structure
```
MgSi2
1.0
5.741 0.000 0.000
1.426 7.475 0.000
1.422 0.251 9.867
Mg Si
8 16
Direct
0.003 0.191 0.267 Mg
0.229 0.547 0.194 Mg
0.286 0.928 0.462 Mg
0.365 0.441 0.636 Mg
0.635 0.559 0.364 Mg
0.714 0.072 0.538 Mg
0.771 0.453 0.806 Mg
0.997 0.809 0.733 Mg
0.002 0.337 0.516 Si
0.115 0.136 0.712 Si
0.139 0.889 0.064 Si
0.205 0.269 0.999 Si
0.225 0.577 0.910 Si
0.398 0.272 0.382 Si
0.475 0.825 0.853 Si
0.493 0.144 0.809 Si
0.507 0.856 0.191 Si
0.525 0.175 0.147 Si
0.602 0.728 0.618 Si
0.775 0.423 0.090 Si
0.795 0.731 0.001 Si
0.861 0.111 0.936 Si
0.885 0.864 0.288 Si
0.998 0.663 0.484 Si
```

---

Record 4
Structure and simulated PXRD pattern of Bi3Au (a DFT-relaxed cell (PBE, the Materials Project); Cu Ka).
Neutral-atom scattering factors, no anomalous dispersion.

Most intense lines, 2θ = 15–90°, in order of rising 2θ:
2theta	Rel. int.
32.91	100.0
47.23	18.7
58.77	39.5
69.02	12.4
78.61	17.7
87.88	4.7

Crystal structure
```
Bi3Au
1.0
0.000 3.849 3.849
3.849 0.000 3.849
3.849 3.849 0.000
Bi Au
3 1
Direct
0.000 0.000 0.000 Bi
0.250 0.250 0.250 Bi
0.750 0.750 0.750 Bi
0.500 0.500 0.500 Au
```

---

Record 5
Structure and simulated PXRD pattern of KHg3 (a DFT-relaxed cell (PBE, the Materials Project); Cu Ka).
Neutral-atom scattering factors, no anomalous dispersion.

Most intense lines, 2θ = 15–90°, in order of rising 2θ:
2theta	Rel. int.
19.68	17.5
30.86	100.0
35.31	35.2
36.72	15.8
51.86	23.7
60.62	29.7

Crystal structure
```
KHg3
1.0
-2.542 2.542 4.895
2.542 -2.542 4.895
2.542 2.542 -4.895
K Hg
1 3
Direct
0.000 0.000 0.000 K
0.250 0.750 0.500 Hg
0.500 0.500 0.000 Hg
0.750 0.250 0.500 Hg
```

---

Record 6
Structure and simulated PXRD pattern of Ba2Sc2O5 (a DFT-relaxed cell (PBE, the Materials Project); Cu Ka).
Neutral-atom scattering factors, no anomalous dispersion.

Most intense lines, 2θ = 15–90°, in order of rising 2θ:
2theta	Rel. int.
20.72	31.9
29.11	33.4
29.82	36.5
30.04	100.0
42.17	35.0
53.07	20.6

Crystal structure
```
Ba2Sc2O5
1.0
5.991 0.000 0.000
0.000 16.532 0.000
0.000 0.000 6.134
Ba Sc O
8 8 20
Direct
0.005 0.109 0.016 Ba
0.005 0.391 0.016 Ba
0.495 0.609 0.516 Ba
0.495 0.891 0.516 Ba
0.505 0.109 0.484 Ba
0.505 0.391 0.484 Ba
0.995 0.609 0.984 Ba
0.995 0.891 0.984 Ba
0.000 0.000 0.500 Sc
0.000 0.500 0.500 Sc
0.037 0.250 0.571 Sc
0.463 0.750 0.071 Sc
0.500 0.000 0.000 Sc
0.500 0.500 0.000 Sc
0.537 0.250 0.929 Sc
0.963 0.750 0.429 Sc
0.007 0.638 0.546 O
0.007 0.862 0.546 O
0.141 0.750 0.154 O
0.248 0.007 0.752 O
0.248 0.493 0.752 O
0.252 0.507 0.252 O
0.252 0.993 0.252 O
0.359 0.250 0.654 O
0.493 0.138 0.046 O
0.493 0.362 0.046 O
0.507 0.638 0.954 O
0.507 0.862 0.954 O
0.641 0.750 0.346 O
0.748 0.007 0.748 O
0.748 0.493 0.748 O
0.752 0.507 0.248 O
0.752 0.993 0.248 O
0.859 0.250 0.846 O
0.993 0.138 0.454 O
0.993 0.362 0.454 O
```

---

Record 7
Structure and simulated PXRD pattern of Na3FeS3 (a DFT-relaxed cell (PBE, the Materials Project); Cu Ka).
Neutral-atom scattering factors, no anomalous dispersion.

Most intense lines, 2θ = 15–90°, in order of rising 2θ:
2theta	Rel. int.
17.80	41.3
19.12	44.0
19.28	45.9
35.79	49.7
36.13	100.0
44.06	35.0

Crystal structure
```
Na3FeS3
1.0
7.184 0.000 0.000
0.000 6.916 0.000
-6.882 0.000 12.524
Na Fe S
12 4 12
Direct
0.012 0.015 0.283 Na
0.012 0.485 0.783 Na
0.386 0.013 0.596 Na
0.386 0.487 0.096 Na
0.458 0.514 0.615 Na
0.458 0.986 0.115 Na
0.542 0.014 0.885 Na
0.542 0.486 0.385 Na
0.614 0.513 0.904 Na
0.614 0.987 0.404 Na
0.988 0.515 0.217 Na
0.988 0.985 0.717 Na
0.001 0.626 0.426 Fe
0.001 0.874 0.926 Fe
0.999 0.126 0.074 Fe
0.999 0.374 0.574 Fe
0.010 0.201 0.924 S
0.010 0.299 0.424 S
0.292 0.224 0.221 S
0.292 0.276 0.721 S
0.295 0.744 0.429 S
0.295 0.756 0.929 S
0.705 0.244 0.071 S
0.705 0.256 0.571 S
0.708 0.724 0.279 S
0.708 0.776 0.779 S
0.990 0.701 0.576 S
0.990 0.799 0.076 S
```